Record 1
# Mg4Ga3Rh
Theoretical X-ray powder pattern, Cu Kα. Input: a crystal structure in Alexandria, relaxed with PBE.
Peak positions follow from Bragg's law for the DFT cell and can differ from measured ones.

Main lines, sorted by position (5 to 70 degrees two-theta):
- 15.4 deg, I 75
- 17.4 deg, I 49
- 28.9 deg, I 22
- 29.8 deg, I 27
- 32.3 deg, I 67
- 38.2 deg, I 21
- 38.4 deg, I 64
- 39.5 deg, I 100
- 40.8 deg, I 92
- 51.0 deg, I 36

Structure:
Cell lengths 12.567, 4.683, 5.557 Å; angles 90.00, 113.38, 90.00 degrees
Space group C2/m (No. 12)
Inequivalent atoms, fractional coordinates:
Mg: 0.125 0.000 0.216 x4
Mg: 0.231 0.000 0.812 x4
Ga: 0.000 0.500 0.000 x2
Ga: 0.114 0.500 0.563 x4
Rh: 0.000 0.000 0.500 x2


Record 2
# Mg6GaRh5
Theoretical X-ray powder pattern, Cu Kα. Input: a crystal structure in Alexandria, relaxed with PBE.
Peak positions follow from Bragg's law for the DFT cell and can differ from measured ones.

Main lines, sorted by position (5 to 70 degrees two-theta):
- 27.6 deg, I 26
- 28.9 deg, I 44
- 40.3 deg, I 100
- 41.0 deg, I 25
- 41.5 deg, I 21
- 50.2 deg, I 10
- 50.6 deg, I 8
- 56.9 deg, I 9
- 59.8 deg, I 14
- 65.1 deg, I 9

Structure:
Cell lengths 4.399, 6.470, 13.050 Å; angles 90.00, 90.00, 90.00 degrees
Space group Immm (No. 71)
Inequivalent atoms, fractional coordinates:
Mg: 0.000 0.225 0.000 x4
Mg: 0.000 0.263 0.327 x8
Ga: 0.000 0.000 0.500 x2
Rh: 0.000 0.000 0.170 x4
Rh: 0.000 0.500 0.151 x4
Rh: 0.000 0.500 0.500 x2


Record 3
# MgGa4RuRh2
Theoretical X-ray powder pattern, Cu Kα. Input: a crystal structure in Alexandria, relaxed with PBE.
Peak positions follow from Bragg's law for the DFT cell and can differ from measured ones.

Main lines, sorted by position (5 to 70 degrees two-theta):
- 12.4 deg, I 11
- 24.0 deg, I 9
- 25.1 deg, I 7
- 31.6 deg, I 2
- 37.7 deg, I 4
- 41.3 deg, I 96
- 41.5 deg, I 100
- 43.5 deg, I 3
- 57.3 deg, I 7
- 60.0 deg, I 31

Structure:
Cell lengths 4.3477, 4.3477, 21.4926 Å; angles 90.00, 90.00, 120.00 degrees
Space group R-3m (No. 166, hexagonal axes)
Inequivalent atoms, fractional coordinates:
Mg: 0.0000 0.0000 0.0000 x3
Ga: 0.0000 0.0000 0.1315 x6
Ga: 0.0000 0.0000 0.3802 x6
Ru: 0.0000 0.0000 0.5000 x3
Rh: 0.0000 0.0000 0.2543 x6


Record 4
# SmMg2GaRh2
Theoretical X-ray powder pattern, Cu Kα. Input: a crystal structure in Alexandria, relaxed with PBE.
Peak positions follow from Bragg's law for the DFT cell and can differ from measured ones.

Main lines, sorted by position (5 to 70 degrees two-theta):
- 14.9 deg, I 35
- 19.1 deg, I 58
- 30.0 deg, I 49
- 31.1 deg, I 100
- 35.8 deg, I 63
- 38.7 deg, I 79
- 49.8 deg, I 47
- 53.8 deg, I 38
- 55.9 deg, I 27
- 65.4 deg, I 23

Structure:
Cell lengths 4.649, 4.649, 5.957 Å; angles 90.00, 90.00, 90.00 degrees
Space group P4/mmm (No. 123)
Inequivalent atoms, fractional coordinates:
Sm: 0.000 0.000 0.000 x1
Mg: 0.500 0.500 0.253 x2
Ga: 0.000 0.000 0.500 x1
Rh: 0.000 0.500 0.500 x2


Record 5
# Tm2MgGa2Rh5
Theoretical X-ray powder pattern, Cu Kα. Input: a crystal structure in Alexandria, relaxed with PBE.
Peak positions follow from Bragg's law for the DFT cell and can differ from measured ones.

Main lines, sorted by position (5 to 70 degrees two-theta):
- 12.7 deg, I 21
- 31.4 deg, I 20
- 32.7 deg, I 40
- 37.8 deg, I 70
- 38.7 deg, I 100
- 38.9 deg, I 34
- 42.0 deg, I 41
- 45.1 deg, I 22
- 52.2 deg, I 23
- 66.2 deg, I 26

Structure:
Cell lengths 9.825, 9.825, 3.505 Å; angles 90.00, 90.00, 90.00 degrees
Space group P4/mbm (No. 127)
Inequivalent atoms, fractional coordinates:
Tm: 0.173 0.327 0.000 x4
Mg: 0.000 0.000 0.000 x2
Ga: 0.126 0.626 0.000 x4
Rh: 0.000 0.500 0.500 x2
Rh: 0.069 0.795 0.500 x8


Record 6
# MgZnGa2Rh2
Theoretical X-ray powder pattern, Cu Kα. Input: a crystal structure in Alexandria, relaxed with PBE.
Peak positions follow from Bragg's law for the DFT cell and can differ from measured ones.

Main lines, sorted by position (5 to 70 degrees two-theta):
- 16.4 deg, I 8
- 23.5 deg, I 14
- 28.8 deg, I 10
- 33.2 deg, I 15
- 41.1 deg, I 84
- 41.3 deg, I 100
- 44.8 deg, I 4
- 54.0 deg, I 22
- 59.7 deg, I 27
- 69.6 deg, I 3

Structure:
Cell lengths 4.3681, 4.3681, 5.4033 Å; angles 90.00, 90.00, 120.00 degrees
Space group P-3m1 (No. 164)
Inequivalent atoms, fractional coordinates:
Mg: 0.0000 0.0000 0.0000 x1
Zn: 0.0000 0.0000 0.5000 x1
Ga: 0.3333 0.6667 0.7814 x2
Rh: 0.3333 0.6667 0.2915 x2


Record 7
# MgZn2Ga2Rh2
Theoretical X-ray powder pattern, Cu Kα. Input: a crystal structure in Alexandria, relaxed with PBE.
Peak positions follow from Bragg's law for the DFT cell and can differ from measured ones.

Main lines, sorted by position (5 to 70 degrees two-theta):
- 25.3 deg, I 30
- 25.6 deg, I 15
- 26.9 deg, I 22
- 39.6 deg, I 37
- 40.0 deg, I 72
- 40.9 deg, I 11
- 41.6 deg, I 51
- 41.8 deg, I 100
- 43.5 deg, I 18
- 58.8 deg, I 22

Structure:
Cell lengths 7.480, 4.339, 7.117 Å; angles 90.00, 111.37, 90.00 degrees
Space group C2/m (No. 12)
Inequivalent atoms, fractional coordinates:
Mg: 0.000 0.000 0.000 x2
Zn: 0.139 0.000 0.418 x4
Ga: 0.094 0.500 0.778 x4
Rh: 0.228 0.500 0.189 x4


Record 8
# MgGaRu
Theoretical X-ray powder pattern, Cu Kα. Input: a crystal structure in Alexandria, relaxed with PBE.
Peak positions follow from Bragg's law for the DFT cell and can differ from measured ones.

Main lines, sorted by position (5 to 70 degrees two-theta):
- 19.5 deg, I 48
- 29.4 deg, I 17
- 39.6 deg, I 62
- 40.8 deg, I 100
- 44.5 deg, I 22
- 57.3 deg, I 21
- 58.1 deg, I 18
- 60.9 deg, I 5
- 61.1 deg, I 8
- 65.7 deg, I 3

Structure:
Cell lengths 3.216, 3.216, 9.124 Å; angles 90.00, 90.00, 90.00 degrees
Space group I4mm (No. 107)
Inequivalent atoms, fractional coordinates:
Mg: 0.000 0.000 0.000 x2
Ga: 0.000 0.000 0.303 x2
Ru: 0.000 0.000 0.675 x2